1.
RbGaI4: calculated powder diffraction line list (Cu Kα, 1.54184 Å), based on a crystal structure in Alexandria, relaxed with PBE.
Kinematic intensities with the Lorentz-polarization factor, no thermal factor.

Largest 10 diffraction maxima, in order of falling intensity, 10° ≤ 2θ ≤ 90°:
2θ (°)	Rel. int.
15.0	100
19.3	88
25.7	84
25.1	77
24.4	74
29.4	68
23.9	65
14.2	50
15.5	48
29.0	45

Atomic structure:
Lattice parameters (Å, degrees): 7.4187 11.8255 7.4791 90.00 100.03 90.00
Fractional positions:
Rb 0.1307 0.2500 0.2037
Rb 0.8693 0.7500 0.7963
Ga 0.3852 0.7500 0.2932
Ga 0.6148 0.2500 0.7068
I 0.2295 0.5751 0.1223
I 0.2295 0.9249 0.1223
I 0.2668 0.2500 0.7183
I 0.3492 0.7500 0.6311
I 0.6508 0.2500 0.3689
I 0.7332 0.7500 0.2817
I 0.7705 0.0751 0.8777
I 0.7705 0.4249 0.8777

2.
Tm3Mg6Sc2: calculated powder diffraction line list (Cu Kα, 1.54184 Å), based on a crystal structure in Alexandria, relaxed with PBE.
Kinematic intensities with the Lorentz-polarization factor, no thermal factor.

Largest 10 diffraction maxima, in order of falling intensity, 10° ≤ 2θ ≤ 90°:
2θ (°)	Rel. int.
25.0	100
33.1	96
31.3	86
11.4	80
29.1	59
54.2	47
41.6	43
49.2	33
60.4	25
69.6	25

Atomic structure:
Lattice parameters (Å, degrees): 15.8593 15.8593 15.8593 164.27 164.27 22.31
Fractional positions:
Tm 0.0000 0.0000 0.0000
Tm 0.2143 0.2143 0.0000
Tm 0.7857 0.7857 0.0000
Mg 0.1163 0.6163 0.5000
Mg 0.3172 0.3172 0.0000
Mg 0.3837 0.8837 0.5000
Mg 0.6163 0.1163 0.5000
Mg 0.6828 0.6828 0.0000
Mg 0.8837 0.3837 0.5000
Sc 0.4540 0.4540 0.0000
Sc 0.5460 0.5460 0.0000

3.
I: calculated powder diffraction line list (Cu Kα, 1.54184 Å), based on a crystal structure in Alexandria, relaxed with PBE.
Kinematic intensities with the Lorentz-polarization factor, no thermal factor.

Largest 10 diffraction maxima, in order of falling intensity, 10° ≤ 2θ ≤ 90°:
2θ (°)	Rel. int.
19.8	100
23.3	67
24.9	57
38.9	34
30.5	34
35.7	22
36.3	21
37.0	20
38.6	18
39.6	16

Atomic structure:
Lattice parameters (Å, degrees): 2.9274 4.0645 4.7784 110.00 91.02 90.04
Fractional positions:
I 0.0000 0.0000 0.0000

4.
Dy6Hg2Se: calculated powder diffraction line list (Cu Kα, 1.54184 Å), based on a crystal structure in Alexandria, relaxed with PBE.
Kinematic intensities with the Lorentz-polarization factor, no thermal factor.

Largest 10 diffraction maxima, in order of falling intensity, 10° ≤ 2θ ≤ 90°:
2θ (°)	Rel. int.
32.0	100
30.5	92
29.5	75
29.3	64
28.4	48
35.1	46
38.4	41
34.4	38
39.5	37
33.7	36

Atomic structure:
Lattice parameters (Å, degrees): 6.6084 7.5328 12.1138 90.00 120.61 90.00
Fractional positions:
Dy 0.1011 0.2077 0.4428
Dy 0.1011 0.2923 0.9428
Dy 0.2771 0.6635 0.4409
Dy 0.2771 0.8365 0.9409
Dy 0.3820 0.0298 0.2396
Dy 0.3820 0.4702 0.7396
Dy 0.6180 0.5298 0.2604
Dy 0.6180 0.9702 0.7604
Dy 0.7229 0.1635 0.0591
Dy 0.7229 0.3365 0.5591
Dy 0.8989 0.7077 0.0572
Dy 0.8989 0.7923 0.5572
Hg 0.1616 0.1083 0.7339
Hg 0.1616 0.3917 0.2339
Hg 0.8384 0.6083 0.7661
Hg 0.8384 0.8917 0.2661
Se 0.5000 0.0000 0.5000
Se 0.5000 0.5000 0.0000

5.
AcPm2Dy4Tm: calculated powder diffraction line list (Cu Kα, 1.54184 Å), based on a crystal structure in Alexandria, relaxed with PBE.
Kinematic intensities with the Lorentz-polarization factor, no thermal factor.

Largest 10 diffraction maxima, in order of falling intensity, 10° ≤ 2θ ≤ 90°:
2θ (°)	Rel. int.
29.9	100
40.4	88
26.5	45
63.6	22
60.4	18
53.1	13
68.7	12
60.2	9
62.1	8
79.7	8

Atomic structure:
Lattice parameters (Å, degrees): 9.6235 9.6235 6.9105 111.03 111.03 88.50
Fractional positions:
Ac 0.0000 0.5000 0.0000
Ac 0.5000 0.0000 0.5000
Pm 0.0000 0.0000 0.0000
Pm 0.0000 0.0000 0.5000
Pm 0.0000 0.5000 0.5000
Pm 0.5000 0.0000 0.0000
Dy 0.2474 0.2639 0.5066
Dy 0.2561 0.7439 0.5122
Dy 0.2561 0.7439 0.9878
Dy 0.2639 0.2474 0.0066
Dy 0.7361 0.7526 0.9934
Dy 0.7439 0.2561 0.0122
Dy 0.7439 0.2561 0.4878
Dy 0.7526 0.7361 0.4934
Tm 0.5000 0.5000 0.0000
Tm 0.5000 0.5000 0.5000

6.
LiCeZnSn: calculated powder diffraction line list (Cu Kα, 1.54184 Å), based on a crystal structure in Alexandria, relaxed with PBE.
Kinematic intensities with the Lorentz-polarization factor, no thermal factor.

Largest 10 diffraction maxima, in order of falling intensity, 10° ≤ 2θ ≤ 90°:
2θ (°)	Rel. int.
35.4	100
21.5	42
63.6	36
41.8	23
50.9	18
85.7	16
74.9	11
55.9	10
79.0	7
67.9	7

Atomic structure:
Lattice parameters (Å, degrees): 7.1701 7.1701 7.1701 90.00 90.00 90.00
Fractional positions:
Li 0.0000 0.0000 0.0000
Li 0.0000 0.5000 0.5000
Li 0.5000 0.0000 0.5000
Li 0.5000 0.5000 0.0000
Ce 0.0000 0.0000 0.5000
Ce 0.0000 0.5000 0.0000
Ce 0.5000 0.0000 0.0000
Ce 0.5000 0.5000 0.5000
Zn 0.2500 0.2500 0.7500
Zn 0.2500 0.7500 0.2500
Zn 0.7500 0.2500 0.2500
Zn 0.7500 0.7500 0.7500
Sn 0.2500 0.2500 0.2500
Sn 0.2500 0.7500 0.7500
Sn 0.7500 0.2500 0.7500
Sn 0.7500 0.7500 0.2500

7.
U3TiS6: calculated powder diffraction line list (Cu Kα, 1.54184 Å), based on a crystal structure in Alexandria, relaxed with PBE.
Kinematic intensities with the Lorentz-polarization factor, no thermal factor.

Largest 10 diffraction maxima, in order of falling intensity, 10° ≤ 2θ ≤ 90°:
2θ (°)	Rel. int.
31.0	100
24.2	81
27.0	81
25.7	49
12.0	49
27.1	39
36.6	36
43.4	33
29.7	33
39.7	32

Atomic structure:
Lattice parameters (Å, degrees): 3.6801 10.4472 10.3817 90.00 90.00 90.00
Fractional positions:
U 0.0000 0.0610 0.0000
U 0.0000 0.9390 0.5000
U 0.5000 0.2447 0.3005
U 0.5000 0.4264 0.9672
U 0.5000 0.5736 0.4672
U 0.5000 0.7553 0.8005
Ti 0.0000 0.2777 0.6757
Ti 0.0000 0.7223 0.1757
S 0.0000 0.0545 0.2660
S 0.0000 0.3044 0.1112
S 0.0000 0.3799 0.4435
S 0.0000 0.6201 0.9435
S 0.0000 0.6956 0.6112
S 0.0000 0.9455 0.7660
S 0.5000 0.1334 0.5481
S 0.5000 0.1941 0.8501
S 0.5000 0.4481 0.7070
S 0.5000 0.5519 0.2070
S 0.5000 0.8059 0.3501
S 0.5000 0.8666 0.0481

8.
Pr4P6Rh7: calculated powder diffraction line list (Cu Kα, 1.54184 Å), based on a crystal structure in Alexandria, relaxed with PBE.
Kinematic intensities with the Lorentz-polarization factor, no thermal factor.

Largest 10 diffraction maxima, in order of falling intensity, 10° ≤ 2θ ≤ 90°:
2θ (°)	Rel. int.
37.0	100
43.0	68
30.0	39
62.4	39
40.1	34
74.8	32
25.9	27
50.9	14
14.9	11
78.8	11

Atomic structure:
Lattice parameters (Å, degrees): 7.2875 7.2875 7.2875 109.47 109.47 109.47
Fractional positions:
Pr 0.0000 0.0000 0.5000
Pr 0.0000 0.5000 0.0000
Pr 0.5000 0.0000 0.0000
Pr 0.5000 0.5000 0.5000
P 0.0000 0.3329 0.3329
P 0.0000 0.6671 0.6671
P 0.3329 0.0000 0.3329
P 0.3329 0.3329 0.0000
P 0.6671 0.0000 0.6671
P 0.6671 0.6671 0.0000
Rh 0.0000 0.0000 0.0000
Rh 0.2500 0.5000 0.7500
Rh 0.2500 0.7500 0.5000
Rh 0.5000 0.2500 0.7500
Rh 0.5000 0.7500 0.2500
Rh 0.7500 0.2500 0.5000
Rh 0.7500 0.5000 0.2500